For Li7Mg5, a PBE-relaxed structure gives the simulated XRD peak list in this record (Cu Kα, 1.54184 Å).
Intensities are scaled so that the largest is 100.

Crystal structure
abc: 6.1738 18.2542 4.4489
angles: 90.00 90.00 90.00
Space group Cmmm (No. 65)
Unique sites:
Li1 0.0000 0.0000 0.0000 [2 per cell]
Li2 0.0000 0.1664 0.0000 [4 per cell]
Li3 0.2498 0.0831 0.5000 [8 per cell]
Mg1 0.0000 0.3332 0.0000 [4 per cell]
Mg2 0.0000 0.5000 0.0000 [2 per cell]
Mg3 0.2500 0.2500 0.5000 [4 per cell]

Largest 10 diffraction maxima, by angle, 2θ from 5° to 70°:
hkl, 2θ/deg, d_spacing, Rel. int.
0 2 0, 9.69, 9.127, 72
1 1 0, 15.15, 5.848, 53
0 4 0, 19.45, 4.564, 15
0 2 1, 22.23, 3.999, 21
1 1 1, 25.15, 3.541, 31
2 0 1, 35.39, 2.536, 100
0 6 1, 35.75, 2.511, 97
0 0 2, 40.55, 2.224, 34
2 6 0, 41.68, 2.167, 63
2 6 2, 59.56, 1.552, 42